1.
Starting from the PBE geometry in Alexandria, the powder XRD pattern of HoPaZnO6 was calculated for Cu Kα (weighted mean of Kα1 and Kα2).
Lines closer than 0.1° are merged.

Top 8 peaks for 10 to 80 degrees two-theta, sorted by position:
Position (°2θ)  d/Å  intensity
18.99  4.672  15.2
26.42  3.374  100.0
33.21  2.698  38.0
42.93  2.107  27.9
50.45  1.809  35.5
55.33  1.660  26.8
59.34  1.557  12.4
75.98  1.252  10.6

Structural model:
Lattice parameters (Å, degrees): 5.3951 5.3951 4.8770 90.00 90.00 120.00
Space group P312 (No. 149)
One atom of each set of equivalent atoms:
Ho 0.0000 0.0000 0.0000 (multiplicity 1)
Pa 0.3333 0.6667 0.5000 (multiplicity 1)
Zn 0.6667 0.3333 0.0000 (multiplicity 1)
O 0.3559 0.0016 0.7585 (multiplicity 6)

***

2.
Starting from the PBE geometry in Alexandria, the powder XRD pattern of HoPuPb2O6 was calculated for Cu Kα (weighted mean of Kα1 and Kα2).
Lines closer than 0.1° are merged.

Top 8 peaks for 10 to 80 degrees two-theta, sorted by position:
Position (°2θ)  d/Å  intensity
29.29  3.050  24.6
29.52  3.026  100.0
29.87  2.991  24.2
42.16  2.143  12.4
42.33  2.135  22.5
52.11  1.755  30.4
52.81  1.733  23.1
61.27  1.513  14.3

Structural model:
Lattice parameters (Å, degrees): 5.9821 6.0992 10.4485 90.00 124.86 90.00
Space group P2_1/c (No. 14)
One atom of each set of equivalent atoms:
Ho 0.0000 0.0000 0.0000 (multiplicity 2)
Pu 0.5000 0.0000 0.5000 (multiplicity 2)
Pb 0.2433 0.0314 0.7484 (multiplicity 4)
O 0.1622 0.1945 0.4553 (multiplicity 4)
O 0.2600 0.7100 0.4523 (multiplicity 4)
O 0.3488 0.0255 0.2563 (multiplicity 4)

***

3.
Starting from the PBE geometry in Alexandria, the powder XRD pattern of Ho3PbSO was calculated for Cu Kα (weighted mean of Kα1 and Kα2).
Lines closer than 0.1° are merged.

Top 8 peaks for 10 to 80 degrees two-theta, sorted by position:
Position (°2θ)  d/Å  intensity
10.56  8.379  19.5
16.49  5.377  20.3
30.96  2.889  36.5
31.12  2.874  31.4
31.30  2.857  100.0
32.05  2.793  20.7
40.77  2.213  25.5
46.58  1.950  19.1

Structural model:
Lattice parameters (Å, degrees): 8.6512 3.8997 8.9014 90.00 104.42 90.00
Space group P2_1/m (No. 11)
One atom of each set of equivalent atoms:
Ho 0.0630 0.2500 0.3451 (multiplicity 2)
Ho 0.3321 0.2500 0.9758 (multiplicity 2)
Ho 0.3875 0.7500 0.6429 (multiplicity 2)
Pb 0.3094 0.7500 0.2675 (multiplicity 2)
S 0.1610 0.2500 0.6594 (multiplicity 2)
O 0.4119 0.7500 0.9007 (multiplicity 2)